The following is a theoretical X-ray powder pattern of MnCdBiO4. It was derived from a crystal structure in Alexandria, relaxed with PBE+U, using Cu Kα, 1.54184 Å.
Neutral-atom scattering factors, no anomalous dispersion.

Main lines, in order of rising 2θ (2θ = 10–90°):
d/Å  intensity
5.373  411
3.310  539
2.890  1000
2.780  459
1.820  277
1.653  408

Structure:
a b c (Å): 6.6249 6.8560 9.1869
angles (deg): 90.00 90.00 90.00
Space group Imma (No. 74)
Inequivalent atoms, fractional coordinates:
Mn1 0.2500 0.2500 0.2500 [4 per cell]
Cd1 0.0000 0.2500 0.6233 [4 per cell]
Bi1 0.0000 0.0000 0.0000 [4 per cell]
O1 0.0000 0.0357 0.2531 [8 per cell]
O2 0.2405 0.2500 0.0349 [8 per cell]